Ti8BiPd2: simulated PXRD pattern (Cu Kα (weighted mean of Kα1 and Kα2)), based on the GGA-PBE geometry in Alexandria.

Lattice parameters (Å, degrees): 7.4264 7.4264 5.5163 95.85 95.85 40.98
Fractional positions:
Ti  0.0958  0.0958  0.1165
Ti  0.1395  0.6652  0.3547
Ti  0.2751  0.2751  0.8882
Ti  0.3348  0.8605  0.6453
Ti  0.6652  0.1395  0.3547
Ti  0.7249  0.7249  0.1118
Ti  0.8605  0.3348  0.6453
Ti  0.9042  0.9042  0.8835
Bi  0.5000  0.5000  0.0000
Pd  0.2446  0.2446  0.4015
Pd  0.7554  0.7554  0.5985

Most intense lines, 2θ = 10–90°, low angle first:
Position (°2θ)	I/Imax
19.54	48.4
21.75	82.9
24.92	66.9
25.80	72.1
37.00	70.8
39.95	100.0
43.55	70.0
43.82	75.7